(1)
Diffraction record for SrLa2Mn2O7. The powder X-ray diffraction pattern is simulated, not measured: it uses a crystal structure in the Materials Project, relaxed with GGA+U and CuKα.
Kinematic intensities with the Lorentz-polarization factor, no thermal factor.

```
data_SrLa2Mn2O7
_symmetry_space_group_name_H-M 'P 1'
_symmetry_Int_Tables_number 1
_cell_length_a 10.6318
_cell_length_b 10.6318
_cell_length_c 10.6318
_cell_angle_alpha 158.64
_cell_angle_beta 158.64
_cell_angle_gamma 30.38
loop_
_symmetry_equiv_pos_as_xyz
'x,y,z'
loop_
_atom_site_label
_atom_site_type_symbol
_atom_site_fract_x
_atom_site_fract_y
_atom_site_fract_z
_atom_site_occupancy
Sr1 Sr 0.0000 0.0000 0.0000 1
La1 La 0.6344 0.6344 0.0000 1
La2 La 0.8208 0.8208 0.0000 1
Mn1 Mn 0.2188 0.2188 0.0000 1
Mn2 Mn 0.4152 0.4152 0.0000 1
O1 O 0.1197 0.1197 0.0000 1
O2 O 0.2188 0.7188 0.5000 1
O3 O 0.3127 0.3127 0.0000 1
O4 O 0.4079 0.9079 0.5000 1
O5 O 0.5233 0.5233 0.0000 1
O6 O 0.7188 0.2188 0.5000 1
O7 O 0.9079 0.4079 0.5000 1
```

Principal peaks in the range 10 to 80 degrees two-theta, low angle first:
| two_theta | d [Å] | intensity |
| --- | --- | --- |
| 23.0 | 3.869 | 18.6 |
| 31.5 | 2.842 | 100.0 |
| 32.1 | 2.786 | 64.4 |
| 41.8 | 2.160 | 27.9 |
| 44.1 | 2.052 | 13.1 |
| 46.1 | 1.970 | 41.2 |
| 55.6 | 1.652 | 15.3 |
| 56.9 | 1.619 | 37.6 |
| 65.7 | 1.421 | 14.3 |
| 67.2 | 1.393 | 13.2 |


(2)
Diffraction record for CsLiH4W2SO3. The powder X-ray diffraction pattern is simulated, not measured: it uses a crystal structure in the Materials Project, relaxed with GGA+U and CuKα.
Kinematic intensities with the Lorentz-polarization factor, no thermal factor.

```
data_CsLiH4W2SO3
_symmetry_space_group_name_H-M 'P 1'
_symmetry_Int_Tables_number 1
_cell_length_a 5.2396
_cell_length_b 5.2396
_cell_length_c 9.3734
_cell_angle_alpha 110.49
_cell_angle_beta 110.49
_cell_angle_gamma 61.44
loop_
_symmetry_equiv_pos_as_xyz
'x,y,z'
loop_
_atom_site_label
_atom_site_type_symbol
_atom_site_fract_x
_atom_site_fract_y
_atom_site_fract_z
_atom_site_occupancy
Cs1 Cs 0.0000 0.0000 0.0000 1
Li1 Li 0.1401 0.1401 0.6730 1
H1 H 0.0811 0.6956 0.2280 1
H2 H 0.1115 0.1115 0.4630 1
H3 H 0.6587 0.6587 0.2534 1
H4 H 0.6956 0.0811 0.2280 1
W1 W 0.4957 0.4957 0.3331 1
W2 W 0.8900 0.8900 0.3944 1
S1 S 0.4974 0.4974 0.7328 1
O1 O 0.2304 0.7033 0.6276 1
O2 O 0.3651 0.3651 0.7960 1
O3 O 0.7033 0.2304 0.6276 1
```

Principal peaks in the range 10 to 80 degrees two-theta, low angle first:
| two_theta | d [Å] | intensity |
| --- | --- | --- |
| 10.3 | 8.561 | 100.0 |
| 20.8 | 4.280 | 36.0 |
| 21.6 | 4.114 | 82.4 |
| 24.4 | 3.655 | 24.6 |
| 25.4 | 3.511 | 85.6 |
| 31.3 | 2.854 | 30.4 |
| 33.5 | 2.677 | 33.5 |
| 34.4 | 2.610 | 30.9 |
| 35.1 | 2.556 | 60.0 |
| 55.1 | 1.666 | 25.5 |


(3)
Diffraction record for MgNiP2O7. The powder X-ray diffraction pattern is simulated, not measured: it uses a crystal structure in the Materials Project, relaxed with GGA+U and CuKα.
Kinematic intensities with the Lorentz-polarization factor, no thermal factor.

```
data_MgNiP2O7
_symmetry_space_group_name_H-M 'P 1'
_symmetry_Int_Tables_number 1
_cell_length_a 4.5337
_cell_length_b 5.2809
_cell_length_c 5.3149
_cell_angle_alpha 104.21
_cell_angle_beta 98.19
_cell_angle_gamma 98.23
loop_
_symmetry_equiv_pos_as_xyz
'x,y,z'
loop_
_atom_site_label
_atom_site_type_symbol
_atom_site_fract_x
_atom_site_fract_y
_atom_site_fract_z
_atom_site_occupancy
Mg1 Mg 0.0000 0.0000 0.0000 1
Ni1 Ni 0.9965 0.6293 0.3773 1
P1 P 0.4029 0.5286 0.9153 1
P2 P 0.5894 0.0909 0.4779 1
O1 O 0.2133 0.3925 0.0802 1
O2 O 0.2226 0.6844 0.7616 1
O3 O 0.2829 0.9357 0.3096 1
O4 O 0.4923 0.2868 0.7167 1
O5 O 0.7111 0.6951 0.0686 1
O6 O 0.7709 0.2478 0.3261 1
O7 O 0.7782 0.9241 0.6126 1
```

Principal peaks in the range 10 to 80 degrees two-theta, low angle first:
| two_theta | d [Å] | intensity |
| --- | --- | --- |
| 17.5 | 5.063 | 15.1 |
| 17.6 | 5.031 | 15.7 |
| 21.3 | 4.181 | 12.3 |
| 29.3 | 3.052 | 61.8 |
| 29.4 | 3.034 | 100.0 |
| 30.7 | 2.912 | 65.6 |
| 44.3 | 2.047 | 11.4 |
| 44.4 | 2.042 | 16.8 |
| 57.7 | 1.598 | 12.2 |
| 57.9 | 1.593 | 11.8 |


(4)
Diffraction record for NaSrPrWO6. The powder X-ray diffraction pattern is simulated, not measured: it uses a crystal structure in the Materials Project, relaxed with GGA+U and CuKα.
Kinematic intensities with the Lorentz-polarization factor, no thermal factor.

```
data_NaSrPrWO6
_symmetry_space_group_name_H-M 'P 1'
_symmetry_Int_Tables_number 1
_cell_length_a 6.0545
_cell_length_b 6.0545
_cell_length_c 6.0545
_cell_angle_alpha 60.00
_cell_angle_beta 60.00
_cell_angle_gamma 60.00
loop_
_symmetry_equiv_pos_as_xyz
'x,y,z'
loop_
_atom_site_label
_atom_site_type_symbol
_atom_site_fract_x
_atom_site_fract_y
_atom_site_fract_z
_atom_site_occupancy
Na1 Na 0.0000 0.0000 0.0000 1
Sr1 Sr 0.5000 0.5000 0.5000 1
Pr1 Pr 0.7500 0.7500 0.7500 1
W1 W 0.2500 0.2500 0.2500 1
O1 O 0.0224 0.0224 0.4776 1
O2 O 0.0224 0.4776 0.0224 1
O3 O 0.0224 0.4776 0.4776 1
O4 O 0.4776 0.0224 0.0224 1
O5 O 0.4776 0.0224 0.4776 1
O6 O 0.4776 0.4776 0.0224 1
```

Principal peaks in the range 10 to 80 degrees two-theta, low angle first:
| two_theta | d [Å] | intensity |
| --- | --- | --- |
| 17.9 | 4.943 | 9.4 |
| 20.7 | 4.281 | 44.5 |
| 29.5 | 3.027 | 100.0 |
| 42.2 | 2.141 | 32.0 |
| 47.5 | 1.915 | 18.8 |
| 52.3 | 1.748 | 40.6 |
| 61.2 | 1.514 | 19.7 |
| 65.4 | 1.427 | 8.8 |
| 69.4 | 1.354 | 18.7 |
| 77.2 | 1.236 | 6.4 |


(5)
Diffraction record for Li9Mn2Co5O16. The powder X-ray diffraction pattern is simulated, not measured: it uses a crystal structure in the Materials Project, relaxed with GGA+U and CuKα.
Kinematic intensities with the Lorentz-polarization factor, no thermal factor.

```
data_Li9Mn2Co5O16
_symmetry_space_group_name_H-M 'P 1'
_symmetry_Int_Tables_number 1
_cell_length_a 8.4066
_cell_length_b 2.8938
_cell_length_c 11.8551
_cell_angle_alpha 90.00
_cell_angle_beta 90.45
_cell_angle_gamma 90.00
loop_
_symmetry_equiv_pos_as_xyz
'x,y,z'
loop_
_atom_site_label
_atom_site_type_symbol
_atom_site_fract_x
_atom_site_fract_y
_atom_site_fract_z
_atom_site_occupancy
Li1 Li 0.0000 0.0000 0.0000 1
Li2 Li 0.0021 0.0000 0.4809 1
Li3 Li 0.0042 0.0000 0.2455 1
Li4 Li 0.2414 0.5000 0.1253 1
Li5 Li 0.2572 0.5000 0.6122 1
Li6 Li 0.5120 0.0000 0.2422 1
Li7 Li 0.5140 0.0000 0.7391 1
Li8 Li 0.7559 0.5000 0.8687 1
Li9 Li 0.7704 0.5000 0.3610 1
Mn1 Mn 0.2455 0.5000 0.3660 1
Mn2 Mn 0.2599 0.5000 0.8653 1
Co1 Co 0.0035 0.0000 0.7398 1
Co2 Co 0.5102 0.0000 0.4904 1
Co3 Co 0.5153 0.0000 0.9994 1
Co4 Co 0.7548 0.5000 0.6178 1
Co5 Co 0.7829 0.5000 0.1223 1
O1 O 0.0034 0.5000 0.6314 1
O2 O 0.0249 0.5000 0.8503 1
O3 O 0.0282 0.5000 0.3693 1
O4 O 0.2537 0.0000 0.9745 1
O5 O 0.2579 0.0000 0.2581 1
O6 O 0.2586 0.0000 0.4811 1
O7 O 0.2632 0.0000 0.7551 1
O8 O 0.4890 0.5000 0.8755 1
O9 O 0.4899 0.5000 0.3769 1
O10 O 0.5013 0.5000 0.1095 1
O11 O 0.5079 0.5000 0.6083 1
O12 O 0.7483 0.0000 0.9965 1
O13 O 0.7512 0.0000 0.4975 1
O14 O 0.7541 0.0000 0.2329 1
O15 O 0.7579 0.0000 0.7382 1
O16 O 0.9975 0.5000 0.1127 1
```

Principal peaks in the range 10 to 80 degrees two-theta, low angle first:
| two_theta | d [Å] | intensity |
| --- | --- | --- |
| 18.2 | 4.862 | 100.0 |
| 35.5 | 2.526 | 14.2 |
| 36.2 | 2.482 | 25.6 |
| 43.0 | 2.102 | 27.3 |
| 43.7 | 2.071 | 54.7 |
| 47.6 | 1.909 | 9.0 |
| 57.5 | 1.604 | 9.6 |
| 62.8 | 1.479 | 14.4 |
| 63.2 | 1.471 | 13.9 |
| 64.4 | 1.447 | 7.3 |


Please write out number 5 again, unchanged.
Diffraction record for Li9Mn2Co5O16. The powder X-ray diffraction pattern is simulated, not measured: it uses a crystal structure in the Materials Project, relaxed with GGA+U and CuKα.
Kinematic intensities with the Lorentz-polarization factor, no thermal factor.

```
data_Li9Mn2Co5O16
_symmetry_space_group_name_H-M 'P 1'
_symmetry_Int_Tables_number 1
_cell_length_a 8.4066
_cell_length_b 2.8938
_cell_length_c 11.8551
_cell_angle_alpha 90.00
_cell_angle_beta 90.45
_cell_angle_gamma 90.00
loop_
_symmetry_equiv_pos_as_xyz
'x,y,z'
loop_
_atom_site_label
_atom_site_type_symbol
_atom_site_fract_x
_atom_site_fract_y
_atom_site_fract_z
_atom_site_occupancy
Li1 Li 0.0000 0.0000 0.0000 1
Li2 Li 0.0021 0.0000 0.4809 1
Li3 Li 0.0042 0.0000 0.2455 1
Li4 Li 0.2414 0.5000 0.1253 1
Li5 Li 0.2572 0.5000 0.6122 1
Li6 Li 0.5120 0.0000 0.2422 1
Li7 Li 0.5140 0.0000 0.7391 1
Li8 Li 0.7559 0.5000 0.8687 1
Li9 Li 0.7704 0.5000 0.3610 1
Mn1 Mn 0.2455 0.5000 0.3660 1
Mn2 Mn 0.2599 0.5000 0.8653 1
Co1 Co 0.0035 0.0000 0.7398 1
Co2 Co 0.5102 0.0000 0.4904 1
Co3 Co 0.5153 0.0000 0.9994 1
Co4 Co 0.7548 0.5000 0.6178 1
Co5 Co 0.7829 0.5000 0.1223 1
O1 O 0.0034 0.5000 0.6314 1
O2 O 0.0249 0.5000 0.8503 1
O3 O 0.0282 0.5000 0.3693 1
O4 O 0.2537 0.0000 0.9745 1
O5 O 0.2579 0.0000 0.2581 1
O6 O 0.2586 0.0000 0.4811 1
O7 O 0.2632 0.0000 0.7551 1
O8 O 0.4890 0.5000 0.8755 1
O9 O 0.4899 0.5000 0.3769 1
O10 O 0.5013 0.5000 0.1095 1
O11 O 0.5079 0.5000 0.6083 1
O12 O 0.7483 0.0000 0.9965 1
O13 O 0.7512 0.0000 0.4975 1
O14 O 0.7541 0.0000 0.2329 1
O15 O 0.7579 0.0000 0.7382 1
O16 O 0.9975 0.5000 0.1127 1
```

Principal peaks in the range 10 to 80 degrees two-theta, low angle first:
| two_theta | d [Å] | intensity |
| --- | --- | --- |
| 18.2 | 4.862 | 100.0 |
| 35.5 | 2.526 | 14.2 |
| 36.2 | 2.482 | 25.6 |
| 43.0 | 2.102 | 27.3 |
| 43.7 | 2.071 | 54.7 |
| 47.6 | 1.909 | 9.0 |
| 57.5 | 1.604 | 9.6 |
| 62.8 | 1.479 | 14.4 |
| 63.2 | 1.471 | 13.9 |
| 64.4 | 1.447 | 7.3 |